Starting from the GGA-PBE geometry in Alexandria, the powder diffraction line list of LaSmSi2Pd5 was calculated for CuKα.
Lines closer than 0.1° are merged.

Peak list (6 most intense, 10° ≤ 2θ ≤ 90°, by angle)
d/Å, Rel. int.
2.510, 100
2.266, 16
2.132, 42
1.553, 19
1.351, 13
1.292, 24

Atomic structure:
```
data_LaSmSi2Pd5
_chemical_formula_sum 'La1 Sm1 Si2 Pd5'
_space_group_name_H-M_alt 'P 4/m m m'
_space_group_IT_number 123
_space_group_name_Hall '-P 4 2'
_cell_length_a 4.2636
_cell_length_b 4.2636
_cell_length_c 9.0633
_cell_angle_alpha 90.00
_cell_angle_beta 90.00
_cell_angle_gamma 90.00
loop_
_atom_site_label
_atom_site_type_symbol
_atom_site_fract_x
_atom_site_fract_y
_atom_site_fract_z
La1 La 0.0000 0.0000 0.0000
Sm1 Sm 0.0000 0.0000 0.5000
Si1 Si 0.5000 0.5000 0.3687
Pd1 Pd 0.0000 0.5000 0.2363
Pd2 Pd 0.5000 0.5000 0.0000
```

Starting from the GGA-PBE geometry in Alexandria, the powder diffraction line list of LaSm3Pd was calculated for CuKα.
Lines closer than 0.1° are merged.

Peak list (6 most intense, 10° ≤ 2θ ≤ 90°, by angle)
d/Å, Rel. int.
3.029, 37
2.950, 100
2.729, 81
2.626, 56
1.929, 34
1.612, 29

Atomic structure:
```
data_LaSm3Pd
_chemical_formula_sum 'La4 Sm12 Pd4'
_space_group_name_H-M_alt 'C 1 m 1'
_space_group_IT_number 8
_cell_length_a 12.4228
_cell_length_b 3.8592
_cell_length_c 13.7017
_cell_angle_alpha 90.00
_cell_angle_beta 111.29
_cell_angle_gamma 90.00
loop_
_space_group_symop_operation_xyz
'x,y,z'
'x,-y,z'
'x+1/2,y+1/2,z'
'x+1/2,-y+1/2,z'
loop_
_atom_site_label
_atom_site_type_symbol
_atom_site_fract_x
_atom_site_fract_y
_atom_site_fract_z
La1 La 0.0000 0.0000 0.0000
La2 La 0.1205 0.0000 0.3052
Sm1 Sm 0.1055 0.0000 0.6160
Sm2 Sm 0.2341 0.0000 0.9069
Sm3 Sm 0.2717 0.5000 0.1514
Sm4 Sm 0.3023 0.5000 0.5366
Sm5 Sm 0.4254 0.0000 0.3871
Sm6 Sm 0.4665 0.0000 0.7648
Pd1 Pd 0.2658 0.5000 0.7588
Pd2 Pd 0.4627 0.0000 0.1511
```

Starting from the GGA-PBE geometry in Alexandria, the powder diffraction line list of LaSmPd3 was calculated for CuKα.
Lines closer than 0.1° are merged.

Peak list (6 most intense, 10° ≤ 2θ ≤ 90°, by angle)
d/Å, Rel. int.
2.646, 50
2.633, 100
2.513, 32
2.501, 23
2.024, 22
2.009, 32

Atomic structure:
```
data_LaSmPd3
_chemical_formula_sum 'La4 Sm4 Pd12'
_space_group_name_H-M_alt 'P n n m'
_space_group_IT_number 58
_cell_length_a 7.0297
_cell_length_b 8.0279
_cell_length_c 8.0374
_cell_angle_alpha 90.00
_cell_angle_beta 90.00
_cell_angle_gamma 90.00
loop_
_space_group_symop_operation_xyz
'x,y,z'
'-x,-y,-z'
'-x,-y,z'
'x,y,-z'
'x+1/2,-y+1/2,-z+1/2'
'-x+1/2,y+1/2,z+1/2'
'-x+1/2,y+1/2,-z+1/2'
'x+1/2,-y+1/2,z+1/2'
loop_
_atom_site_label
_atom_site_type_symbol
_atom_site_fract_x
_atom_site_fract_y
_atom_site_fract_z
La1 La 0.2203 0.1362 0.0000
Sm1 Sm 0.2170 0.1344 0.5000
Pd1 Pd 0.0000 0.5000 0.2419
Pd2 Pd 0.1165 0.8557 0.2522
```

Starting from the GGA-PBE geometry in Alexandria, the powder diffraction line list of LaSmPd4 was calculated for CuKα.
Lines closer than 0.1° are merged.

Peak list (6 most intense, 10° ≤ 2θ ≤ 90°, by angle)
d/Å, Rel. int.
2.420, 100
2.366, 99
2.207, 58
2.145, 40
1.538, 37
1.294, 26

Atomic structure:
```
data_LaSmPd4
_chemical_formula_sum 'La4 Sm4 Pd16'
_space_group_name_H-M_alt 'C m c m'
_space_group_IT_number 63
_space_group_name_Hall '-C 2c 2'
_cell_length_a 4.2906
_cell_length_b 19.8476
_cell_length_c 5.9276
_cell_angle_alpha 90.00
_cell_angle_beta 90.00
_cell_angle_gamma 90.00
loop_
_atom_site_label
_atom_site_type_symbol
_atom_site_fract_x
_atom_site_fract_y
_atom_site_fract_z
La1 La 0.0000 0.0789 0.2500
Sm1 Sm 0.0000 0.2243 0.7500
Pd1 Pd 0.0000 0.0738 0.7500
Pd2 Pd 0.0000 0.3524 0.0165
Pd3 Pd 0.0000 0.5000 0.0000
```

Starting from the GGA-PBE geometry in Alexandria, the powder diffraction line list of La5SmPd2 was calculated for CuKα.
Lines closer than 0.1° are merged.

Peak list (6 most intense, 10° ≤ 2θ ≤ 90°, by angle)
d/Å, Rel. int.
2.997, 100
2.897, 38
2.865, 27
2.664, 54
2.500, 32
1.667, 26

Atomic structure:
```
data_La5SmPd2
_chemical_formula_sum 'La20 Sm4 Pd8'
_space_group_name_H-M_alt 'C m c m'
_space_group_IT_number 63
_space_group_name_Hall '-C 2c 2'
_cell_length_a 4.0258
_cell_length_b 12.8243
_cell_length_c 19.1603
_cell_angle_alpha 90.00
_cell_angle_beta 90.00
_cell_angle_gamma 90.00
loop_
_atom_site_label
_atom_site_type_symbol
_atom_site_fract_x
_atom_site_fract_y
_atom_site_fract_z
La1 La 0.0000 0.0659 0.1178
La2 La 0.0000 0.3559 0.7500
La3 La 0.0000 0.3584 0.0374
Sm1 Sm 0.0000 0.3736 0.2500
Pd1 Pd 0.0000 0.2146 0.6334
```

Starting from the GGA-PBE geometry in Alexandria, the powder diffraction line list of La2SmPd4 was calculated for CuKα.
Lines closer than 0.1° are merged.

Peak list (6 most intense, 10° ≤ 2θ ≤ 90°, by angle)
d/Å, Rel. int.
3.656, 61
3.290, 38
2.605, 54
2.585, 100
1.835, 38
1.802, 40

Atomic structure:
```
data_La2SmPd4
_chemical_formula_sum 'La4 Sm2 Pd8'
_space_group_name_H-M_alt 'I 4/m m m'
_space_group_IT_number 139
_space_group_name_Hall '-I 4 2'
_cell_length_a 5.1705
_cell_length_b 5.1705
_cell_length_c 15.0796
_cell_angle_alpha 90.00
_cell_angle_beta 90.00
_cell_angle_gamma 90.00
loop_
_atom_site_label
_atom_site_type_symbol
_atom_site_fract_x
_atom_site_fract_y
_atom_site_fract_z
La1 La 0.0000 0.0000 0.1388
Sm1 Sm 0.0000 0.0000 0.5000
Pd1 Pd 0.0000 0.0000 0.3131
Pd2 Pd 0.0000 0.5000 0.0000
```

Starting from the GGA-PBE geometry in Alexandria, the powder diffraction line list of LaSm2Pd was calculated for CuKα.
Lines closer than 0.1° are merged.

Peak list (6 most intense, 10° ≤ 2θ ≤ 90°, by angle)
d/Å, Rel. int.
2.995, 83
2.940, 69
2.896, 100
2.769, 79
2.689, 74
2.592, 54

Atomic structure:
```
data_LaSm2Pd
_chemical_formula_sum 'La4 Sm8 Pd4'
_space_group_name_H-M_alt 'P n m a'
_space_group_IT_number 62
_cell_length_a 7.2476
_cell_length_b 10.0604
_cell_length_c 6.6544
_cell_angle_alpha 90.00
_cell_angle_beta 90.00
_cell_angle_gamma 90.00
loop_
_space_group_symop_operation_xyz
'x,y,z'
'-x,-y,-z'
'-x+1/2,-y,z+1/2'
'x+1/2,y,-z+1/2'
'x+1/2,-y+1/2,-z+1/2'
'-x+1/2,y+1/2,z+1/2'
'-x,y+1/2,-z'
'x,-y+1/2,z'
loop_
_atom_site_label
_atom_site_type_symbol
_atom_site_fract_x
_atom_site_fract_y
_atom_site_fract_z
La1 La 0.0238 0.2500 0.1399
Sm1 Sm 0.1779 0.0608 0.6685
Pd1 Pd 0.1170 0.7500 0.4261
```

Starting from the GGA-PBE geometry in Alexandria, the powder diffraction line list of LaSn4Pd4 was calculated for CuKα.
Lines closer than 0.1° are merged.

Peak list (6 most intense, 10° ≤ 2θ ≤ 90°, by angle)
d/Å, Rel. int.
6.345, 25
2.837, 100
2.566, 35
2.257, 31
1.995, 32
1.948, 30

Atomic structure:
```
data_LaSn4Pd4
_chemical_formula_sum 'La2 Sn8 Pd8'
_space_group_name_H-M_alt 'P 42/n'
_space_group_IT_number 86
_cell_length_a 8.9730
_cell_length_b 8.9730
_cell_length_c 5.3559
_cell_angle_alpha 90.00
_cell_angle_beta 90.00
_cell_angle_gamma 90.00
loop_
_space_group_symop_operation_xyz
'x,y,z'
'-x,-y,-z'
'-y,x+1/2,z+1/2'
'y,-x+1/2,-z+1/2'
'-x+1/2,-y+1/2,z'
'x+1/2,y+1/2,-z'
'y+1/2,-x,z+1/2'
'-y+1/2,x,-z+1/2'
loop_
_atom_site_label
_atom_site_type_symbol
_atom_site_fract_x
_atom_site_fract_y
_atom_site_fract_z
La1 La 0.2500 0.2500 0.2500
Sn1 Sn 0.1002 0.6392 0.1736
Pd1 Pd 0.0529 0.6050 0.6759
```

Starting from the GGA-PBE geometry in Alexandria, the powder diffraction line list of La2Sn3Pd was calculated for CuKα.
Lines closer than 0.1° are merged.

Peak list (6 most intense, 10° ≤ 2θ ≤ 90°, by angle)
d/Å, Rel. int.
2.985, 100
2.940, 52
2.415, 31
2.345, 54
1.866, 28
1.586, 32

Atomic structure:
```
data_La2Sn3Pd
_chemical_formula_sum 'La2 Sn3 Pd1'
_space_group_name_H-M_alt 'P m m 2'
_space_group_IT_number 25
_cell_length_a 4.3064
_cell_length_b 4.8297
_cell_length_c 8.0492
_cell_angle_alpha 90.00
_cell_angle_beta 90.00
_cell_angle_gamma 90.00
loop_
_space_group_symop_operation_xyz
'x,y,z'
'-x,-y,z'
'-x,y,z'
'x,-y,z'
loop_
_atom_site_label
_atom_site_type_symbol
_atom_site_fract_x
_atom_site_fract_y
_atom_site_fract_z
La1 La 0.0000 0.0000 0.0000
La2 La 0.0000 0.5000 0.4940
Sn1 Sn 0.5000 0.0000 0.6398
Sn2 Sn 0.5000 0.5000 0.1786
Sn3 Sn 0.5000 0.5000 0.8271
Pd1 Pd 0.5000 0.0000 0.3112
```

Starting from the GGA-PBE geometry in Alexandria, the powder diffraction line list of La3Sn4Pd2 was calculated for CuKα.
Lines closer than 0.1° are merged.

Peak list (6 most intense, 10° ≤ 2θ ≤ 90°, by angle)
d/Å, Rel. int.
2.982, 32
2.930, 100
2.903, 31
2.379, 37
2.337, 46
1.840, 17

Atomic structure:
```
data_La3Sn4Pd2
_chemical_formula_sum 'La6 Sn8 Pd4'
_space_group_name_H-M_alt 'C 1 2/m 1'
_space_group_IT_number 12
_cell_length_a 11.6113
_cell_length_b 4.7581
_cell_length_c 9.0784
_cell_angle_alpha 90.00
_cell_angle_beta 106.33
_cell_angle_gamma 90.00
loop_
_space_group_symop_operation_xyz
'x,y,z'
'-x,-y,-z'
'-x,y,-z'
'x,-y,z'
'x+1/2,y+1/2,z'
'-x+1/2,-y+1/2,-z'
'-x+1/2,y+1/2,-z'
'x+1/2,-y+1/2,z'
loop_
_atom_site_label
_atom_site_type_symbol
_atom_site_fract_x
_atom_site_fract_y
_atom_site_fract_z
La1 La 0.0000 0.0000 0.0000
La2 La 0.1311 0.5000 0.6886
Sn1 Sn 0.0850 0.0000 0.3969
Sn2 Sn 0.2076 0.5000 0.0738
Pd1 Pd 0.1905 0.5000 0.3687
```

Starting from the GGA-PBE geometry in Alexandria, the powder diffraction line list of La3Sn8Pd3 was calculated for CuKα.
Lines closer than 0.1° are merged.

Peak list (6 most intense, 10° ≤ 2θ ≤ 90°, by angle)
d/Å, Rel. int.
2.860, 94
2.783, 99
2.623, 43
2.498, 100
2.319, 43
2.215, 64

Atomic structure:
```
data_La3Sn8Pd3
_chemical_formula_sum 'La6 Sn16 Pd6'
_space_group_name_H-M_alt 'C 1 2/m 1'
_space_group_IT_number 12
_cell_length_a 16.8875
_cell_length_b 4.9952
_cell_length_c 10.1227
_cell_angle_alpha 90.00
_cell_angle_beta 124.51
_cell_angle_gamma 90.00
loop_
_space_group_symop_operation_xyz
'x,y,z'
'-x,-y,-z'
'-x,y,-z'
'x,-y,z'
'x+1/2,y+1/2,z'
'-x+1/2,-y+1/2,-z'
'-x+1/2,y+1/2,-z'
'x+1/2,-y+1/2,z'
loop_
_atom_site_label
_atom_site_type_symbol
_atom_site_fract_x
_atom_site_fract_y
_atom_site_fract_z
La1 La 0.0000 0.0000 0.0000
La2 La 0.2025 0.5000 0.6873
Sn1 Sn 0.0037 0.5000 0.6783
Sn2 Sn 0.1382 0.0000 0.8513
Sn3 Sn 0.1473 0.0000 0.4304
Sn4 Sn 0.1526 0.5000 0.0490
Pd1 Pd 0.0000 0.0000 0.5000
Pd2 Pd 0.1538 0.5000 0.3142
```

Starting from the GGA-PBE geometry in Alexandria, the powder diffraction line list of La2Sn4Pd9 was calculated for CuKα.
Lines closer than 0.1° are merged.

Peak list (6 most intense, 10° ≤ 2θ ≤ 90°, by angle)
d/Å, Rel. int.
3.238, 16
2.563, 44
2.293, 100
2.287, 57
1.619, 19
1.323, 37

Atomic structure:
```
data_La2Sn4Pd9
_chemical_formula_sum 'La2 Sn4 Pd9'
_space_group_name_H-M_alt 'P -3 m 1'
_space_group_IT_number 164
_space_group_name_Hall '-P 3 2"'
_cell_length_a 4.5852
_cell_length_b 4.5852
_cell_length_c 16.7813
_cell_angle_alpha 90.00
_cell_angle_beta 90.00
_cell_angle_gamma 120.00
loop_
_atom_site_label
_atom_site_type_symbol
_atom_site_fract_x
_atom_site_fract_y
_atom_site_fract_z
La1 La 0.3333 0.6667 0.2533
Sn1 Sn 0.3333 0.6667 0.6036
Sn2 Sn 0.3333 0.6667 0.8958
Pd1 Pd 0.0000 0.0000 0.0000
Pd2 Pd 0.0000 0.0000 0.1649
Pd3 Pd 0.0000 0.0000 0.3522
Pd4 Pd 0.3333 0.6667 0.0624
Pd5 Pd 0.3333 0.6667 0.4441
```

Starting from the GGA-PBE geometry in Alexandria, the powder diffraction line list of La2Sn4Pd was calculated for CuKα.
Lines closer than 0.1° are merged.

Peak list (6 most intense, 10° ≤ 2θ ≤ 90°, by angle)
d/Å, Rel. int.
3.599, 49
3.296, 50
2.736, 46
2.706, 83
2.545, 100
1.863, 61

Atomic structure:
```
data_La2Sn4Pd
_chemical_formula_sum 'La4 Sn8 Pd2'
_space_group_name_H-M_alt 'I 4/m m m'
_space_group_IT_number 139
_space_group_name_Hall '-I 4 2'
_cell_length_a 5.0893
_cell_length_b 5.0893
_cell_length_c 16.4161
_cell_angle_alpha 90.00
_cell_angle_beta 90.00
_cell_angle_gamma 90.00
loop_
_atom_site_label
_atom_site_type_symbol
_atom_site_fract_x
_atom_site_fract_y
_atom_site_fract_z
La1 La 0.0000 0.0000 0.1415
Sn1 Sn 0.0000 0.0000 0.3345
Sn2 Sn 0.0000 0.5000 0.0000
Pd1 Pd 0.0000 0.0000 0.5000
```